Entry 1:
For GeTe2AsPd, a structure optimized by DFT (PBE) gives the computed powder XRD pattern in this record (Cu Kα).

Most intense lines, 2θ = 10–80°, low angle first:
16.0 deg, I = 23; 19.2 deg, I = 12; 29.9 deg, I = 100; 32.4 deg, I = 84; 39.0 deg, I = 25; 46.4 deg, I = 30; 51.5 deg, I = 45; 56.2 deg, I = 33; 62.2 deg, I = 25; 77.1 deg, I = 13

Crystal structure
a = 5.5323 Å, b = 5.5323 Å, c = 4.6238 Å
α = 90.00°, β = 90.00°, γ = 90.00°
Fractional coordinates of all 5 atoms:
Ge  0.0000  0.0000  0.0000
Te  0.0000  0.5000  0.5000
Te  0.5000  0.0000  0.5000
As  0.5000  0.5000  0.5000
Pd  0.5000  0.5000  0.0000

---

Entry 2:
For Pm5Ge2As2, a structure optimized by DFT (PBE) gives the computed powder XRD pattern in this record (Cu Kα).

Most intense lines, 2θ = 10–80°, low angle first:
25.2 deg, I = 34; 30.9 deg, I = 100; 32.0 deg, I = 40; 32.8 deg, I = 39; 33.0 deg, I = 45; 34.9 deg, I = 75; 36.0 deg, I = 26; 36.2 deg, I = 54; 36.5 deg, I = 55; 66.5 deg, I = 27

Crystal structure
a = 8.4649 Å, b = 8.4649 Å, c = 7.9580 Å
α = 90.00°, β = 90.00°, γ = 55.48°
Fractional coordinates of all 18 atoms:
Pm  0.0000  0.0000  0.0000
Pm  0.0340  0.6897  0.6662
Pm  0.1897  0.5340  0.1662
Pm  0.3103  0.9660  0.6662
Pm  0.4660  0.8103  0.1662
Pm  0.5000  0.5000  0.5000
Pm  0.5340  0.1897  0.8338
Pm  0.6897  0.0340  0.3338
Pm  0.8103  0.4660  0.8338
Pm  0.9660  0.3103  0.3338
Ge  0.1256  0.8744  0.3739
Ge  0.3744  0.6256  0.8739
Ge  0.6256  0.3744  0.1261
Ge  0.8744  0.1256  0.6261
As  0.2013  0.2013  0.0000
As  0.2987  0.2987  0.5000
As  0.7013  0.7013  0.5000
As  0.7987  0.7987  0.0000